Structure and computed XRD peak list of Li5MgTi12O24 (the PBE geometry in Alexandria; Cu Kα, 1.54184 Å).
Kinematic intensities with the Lorentz-polarization factor, no thermal factor.

Largest 10 diffraction maxima, low angle first, 2θ = 15–90°:
18.03°, rel. 46, (0 0 3); 18.14°, rel. 100, (1 0 1); 34.98°, rel. 24, (0 1 5); 35.12°, rel. 77, (0 2 1); 42.63°, rel. 100, (0 2 4); 56.24°, rel. 12, (0 2 7); 56.40°, rel. 30, (0 3 3); 61.72°, rel. 36, (2 0 8); 62.03°, rel. 36, (2 2 0); 78.19°, rel. 11, (4 0 4)

Cell and atoms:
Unit cell a=5.9845 b=5.9845 c=14.7605 alpha=90.00 beta=90.00 gamma=120.00
Space group P3m1 (No. 156)
Asymmetric unit:
Li 0.0000 0.0000 0.0000 x1
Li 0.0000 0.0000 0.2407 x1
Li 0.3333 0.6667 0.6661 x1
Li 0.3333 0.6667 0.9130 x1
Li 0.6667 0.3333 0.5875 x1
Mg 0.3333 0.6667 0.2872 x1
Ti 0.0000 0.0000 0.6267 x1
Ti 0.0086 0.5043 0.1218 x3
Ti 0.1625 0.3250 0.4614 x3
Ti 0.3329 0.1665 0.7914 x3
Ti 0.6667 0.3333 0.3330 x1
Ti 0.6667 0.3333 0.9568 x1
O 0.0000 0.0000 0.3865 x1
O 0.0000 0.0000 0.8617 x1
O 0.0107 0.5054 0.3766 x3
O 0.1504 0.3009 0.7125 x3
O 0.1810 0.3621 0.1974 x3
O 0.3028 0.1514 0.5378 x3
O 0.3333 0.6667 0.0493 x1
O 0.3333 0.6667 0.5250 x1
O 0.3699 0.1850 0.0441 x3
O 0.5168 0.0337 0.8701 x3
O 0.6667 0.3333 0.2025 x1
O 0.6667 0.3333 0.7211 x1